Structure and theoretical powder X-ray diffraction pattern of Y4Ni13C4 (DFT lattice parameters and positions (PBE); Cu Kα (λ = 1.5418 Å)).
No peak broadening, texture or thermal motion is included.

Atomic structure:
a = 8.3963 Å, b = 8.3963 Å, c = 3.8646 Å
α = 90.00°, β = 90.00°, γ = 91.27°
Fractional coordinates of all 21 atoms:
Y1 0.1887 0.8113 0.0000
Y2 0.3485 0.3485 0.0000
Y3 0.6515 0.6515 0.0000
Y4 0.8113 0.1887 0.0000
Ni1 0.0000 0.0000 0.5000
Ni2 0.0000 0.5000 0.0000
Ni3 0.0736 0.2908 0.5000
Ni4 0.1225 0.1225 0.0000
Ni5 0.2157 0.5685 0.5000
Ni6 0.2908 0.0736 0.5000
Ni7 0.4315 0.7843 0.5000
Ni8 0.5000 0.0000 0.0000
Ni9 0.5685 0.2157 0.5000
Ni10 0.7092 0.9264 0.5000
Ni11 0.7843 0.4315 0.5000
Ni12 0.8775 0.8775 0.0000
Ni13 0.9264 0.7092 0.5000
C1 0.0000 0.5000 0.5000
C2 0.4431 0.5569 0.5000
C3 0.5000 0.0000 0.5000
C4 0.5569 0.4431 0.5000

Principal peaks in the range 5 to 70 degrees two-theta, in order of rising 2θ:
- 10.54 deg, d 8.394, intensity 22
- 33.12 deg, d 2.705, intensity 52
- 33.43 deg, d 2.681, intensity 22
- 34.00 deg, d 2.637, intensity 19
- 37.96 deg, d 2.370, intensity 55
- 41.06 deg, d 2.198, intensity 27
- 41.45 deg, d 2.178, intensity 100
- 44.26 deg, d 2.047, intensity 33
- 44.75 deg, d 2.025, intensity 24
- 45.84 deg, d 1.979, intensity 19
- 47.03 deg, d 1.932, intensity 50
- 66.55 deg, d 1.405, intensity 18

Structure and theoretical powder X-ray diffraction pattern of Ca3P3Pt (DFT lattice parameters and positions (PBE); Cu Kα (λ = 1.5418 Å)).
No peak broadening, texture or thermal motion is included.

Atomic structure:
a = 8.4604 Å, b = 8.4604 Å, c = 5.7735 Å
α = 90.00°, β = 90.00°, γ = 120.00°
Fractional coordinates of all 14 atoms:
Ca1 0.0777 0.3732 0.2500
Ca2 0.2954 0.9223 0.2500
Ca3 0.3732 0.2954 0.7500
Ca4 0.6268 0.7046 0.2500
Ca5 0.7046 0.0777 0.7500
Ca6 0.9223 0.6268 0.7500
P1 0.0811 0.3797 0.7500
P2 0.2986 0.9189 0.7500
P3 0.3797 0.2986 0.2500
P4 0.6203 0.7014 0.7500
P5 0.7014 0.0811 0.2500
P6 0.9189 0.6203 0.2500
Pt1 0.3333 0.6667 0.7500
Pt2 0.6667 0.3333 0.2500

Principal peaks in the range 5 to 70 degrees two-theta, in order of rising 2θ:
- 12.08 deg, d 7.327, intensity 64
- 19.58 deg, d 4.535, intensity 100
- 21.00 deg, d 4.230, intensity 15
- 24.30 deg, d 3.663, intensity 16
- 28.86 deg, d 3.093, intensity 50
- 30.98 deg, d 2.887, intensity 37
- 32.33 deg, d 2.769, intensity 19
- 35.97 deg, d 2.497, intensity 48
- 36.80 deg, d 2.442, intensity 37
- 47.43 deg, d 1.917, intensity 19
- 48.87 deg, d 1.864, intensity 42
- 66.92 deg, d 1.398, intensity 18

Structure and theoretical powder X-ray diffraction pattern of CdPtCl6 (DFT lattice parameters and positions (PBE); Cu Kα (λ = 1.5418 Å)).
No peak broadening, texture or thermal motion is included.

Atomic structure:
a = 6.7383 Å, b = 6.7383 Å, c = 6.7383 Å
α = 55.33°, β = 55.33°, γ = 55.33°
Fractional coordinates of all 8 atoms:
Cd1 0.0000 0.0000 0.0000
Pt1 0.5000 0.5000 0.5000
Cl1 0.1040 0.4380 0.7212
Cl2 0.2788 0.8960 0.5620
Cl3 0.4380 0.7212 0.1040
Cl4 0.5620 0.2788 0.8960
Cl5 0.7212 0.1040 0.4380
Cl6 0.8960 0.5620 0.2788

Principal peaks in the range 5 to 70 degrees two-theta, in order of rising 2θ:
- 17.17 deg, d 5.165, intensity 14
- 19.40 deg, d 4.574, intensity 100
- 26.59 deg, d 3.352, intensity 47
- 28.53 deg, d 3.129, intensity 16
- 32.67 deg, d 2.741, intensity 22
- 34.74 deg, d 2.582, intensity 23
- 39.40 deg, d 2.287, intensity 15
- 42.98 deg, d 2.104, intensity 45
- 45.55 deg, d 1.992, intensity 21
- 45.71 deg, d 1.985, intensity 10
- 49.36 deg, d 1.846, intensity 18
- 50.53 deg, d 1.806, intensity 20

Structure and theoretical powder X-ray diffraction pattern of CsHPbCl6 (DFT lattice parameters and positions (PBE); Cu Kα (λ = 1.5418 Å)).
No peak broadening, texture or thermal motion is included.

Atomic structure:
a = 6.8467 Å, b = 7.2730 Å, c = 7.3150 Å
α = 101.82°, β = 90.34°, γ = 116.41°
Fractional coordinates of all 9 atoms:
Cs1 0.0000 0.0000 0.0000
H1 0.2524 0.7436 0.5171
Pb1 0.7486 0.2731 0.5873
Cl1 0.0235 0.4848 0.8773
Cl2 0.1010 0.6038 0.3798
Cl3 0.4744 0.9912 0.7400
Cl4 0.5748 0.1385 0.2509
Cl5 0.5962 0.5298 0.6521
Cl6 0.9718 0.0760 0.5027

Principal peaks in the range 5 to 70 degrees two-theta, in order of rising 2θ:
- 12.44 deg, d 7.116, intensity 70
- 13.98 deg, d 6.337, intensity 97
- 14.53 deg, d 6.094, intensity 100
- 16.44 deg, d 5.393, intensity 52
- 18.09 deg, d 4.905, intensity 76
- 18.36 deg, d 4.833, intensity 71
- 20.47 deg, d 4.338, intensity 52
- 25.06 deg, d 3.554, intensity 54
- 25.73 deg, d 3.462, intensity 54
- 30.03 deg, d 2.976, intensity 72
- 30.46 deg, d 2.934, intensity 71
- 31.46 deg, d 2.844, intensity 48

Structure and theoretical powder X-ray diffraction pattern of La8Nd5Th (DFT lattice parameters and positions (PBE); Cu Kα (λ = 1.5418 Å)).
No peak broadening, texture or thermal motion is included.

Atomic structure:
a = 7.1047 Å, b = 8.8552 Å, c = 9.6032 Å
α = 64.40°, β = 70.49°, γ = 75.30°
Fractional coordinates of all 14 atoms:
La1 0.0000 0.0000 0.0000
La2 0.0356 0.1936 0.2626
La3 0.2905 0.1395 0.5686
La4 0.3417 0.3298 0.8236
La5 0.4217 0.7130 0.8586
La6 0.4763 0.8904 0.1279
La7 0.7159 0.8408 0.4317
La8 0.8963 0.6102 0.9865
Nd1 0.1424 0.5615 0.2926
Nd2 0.1972 0.7517 0.5466
Nd3 0.5668 0.2832 0.1486
Nd4 0.7625 0.0477 0.6875
Nd5 0.8527 0.4237 0.7142
Th1 0.6240 0.4675 0.4052

Principal peaks in the range 5 to 70 degrees two-theta, in order of rising 2θ:
- 27.66 deg, d 3.225, intensity 23
- 29.49 deg, d 3.029, intensity 26
- 31.42 deg, d 2.847, intensity 100
- 40.84 deg, d 2.209, intensity 8
- 40.90 deg, d 2.206, intensity 8
- 48.91 deg, d 1.862, intensity 19
- 53.53 deg, d 1.712, intensity 19
- 53.60 deg, d 1.710, intensity 4
- 58.14 deg, d 1.587, intensity 19
- 58.23 deg, d 1.585, intensity 4
- 59.29 deg, d 1.559, intensity 13
- 61.20 deg, d 1.514, intensity 3

Structure and theoretical powder X-ray diffraction pattern of Si2PtSe (DFT lattice parameters and positions (PBE); Cu Kα (λ = 1.5418 Å)).
No peak broadening, texture or thermal motion is included.

Atomic structure:
a = 4.3298 Å, b = 3.9530 Å, c = 4.3469 Å
α = 90.00°, β = 108.21°, γ = 90.00°
Fractional coordinates of all 4 atoms:
Si1 0.0000 0.0000 0.0000
Si2 0.1814 0.5000 0.7532
Pt1 0.4124 0.0000 0.5730
Se1 0.6473 0.5000 0.3440

Principal peaks in the range 5 to 70 degrees two-theta, in order of rising 2θ:
- 21.56 deg, d 4.122, intensity 100
- 22.49 deg, d 3.953, intensity 16
- 31.36 deg, d 2.853, intensity 61
- 34.14 deg, d 2.626, intensity 88
- 35.28 deg, d 2.544, intensity 45
- 45.91 deg, d 1.977, intensity 22
- 48.52 deg, d 1.876, intensity 20
- 48.65 deg, d 1.872, intensity 19
- 49.83 deg, d 1.830, intensity 29
- 49.99 deg, d 1.824, intensity 30
- 51.26 deg, d 1.782, intensity 21
- 59.20 deg, d 1.561, intensity 20